[1]
Diffraction record for CaCO3. The powder diffractogram is computed, not measured: it uses DFT lattice parameters and positions (GGA-PBE) and CuKα.

Structure:
```
data_CaCO3
_chemical_formula_sum 'Ca6 C6 O18'
_cell_length_a 8.707
_cell_length_b 5.027
_cell_length_c 8.728
_cell_angle_alpha 90.00
_cell_angle_beta 90.05
_cell_angle_gamma 90.00
_space_group_name_H-M_alt 'C 1 2 1'
_space_group_IT_number 5
_space_group_name_Hall 'C 2y'
loop_
_atom_site_label
_atom_site_fract_x
_atom_site_fract_y
_atom_site_fract_z
Ca1 0.000 0.000 0.000
Ca2 0.166 0.500 0.335
C1 0.000 0.001 0.500
C2 0.167 0.500 0.830
O1 0.000 0.743 0.500
O2 0.039 0.368 0.830
O3 0.129 0.130 0.501
O4 0.166 0.758 0.831
O5 0.202 0.873 0.170
```

Largest 10 diffraction maxima, by angle, 10 to 80 degrees two-theta:
- d = 3.896 Å, rel. 8
- d = 3.082 Å, rel. 100
- d = 2.514 Å, rel. 15
- d = 2.415 Å, rel. 11
- d = 2.112 Å, rel. 15
- d = 1.950 Å, rel. 29
- d = 1.902 Å, rel. 24
- d = 1.617 Å, rel. 14
- d = 1.540 Å, rel. 8
- d = 1.451 Å, rel. 8

[2]
Diffraction record for Pr3Si2Ni6. The powder diffractogram is computed, not measured: it uses DFT lattice parameters and positions (GGA-PBE) and CuKα.

Structure:
```
data_Pr3Si2Ni6
_chemical_formula_sum 'Pr12 Si8 Ni24'
_cell_length_a 8.948
_cell_length_b 8.948
_cell_length_c 8.948
_cell_angle_alpha 90.00
_cell_angle_beta 90.00
_cell_angle_gamma 90.00
_space_group_name_H-M_alt 'I m -3 m'
_space_group_IT_number 229
_space_group_name_Hall '-I 4 2 3'
loop_
_atom_site_label
_atom_site_fract_x
_atom_site_fract_y
_atom_site_fract_z
Pr1 0.000 0.000 0.283
Si1 0.250 0.250 0.250
Ni1 0.000 0.331 0.331
```

Largest 10 diffraction maxima, by angle, 10 to 80 degrees two-theta:
- d = 3.653 Å, rel. 14
- d = 3.164 Å, rel. 16
- d = 2.830 Å, rel. 36
- d = 2.583 Å, rel. 26
- d = 2.391 Å, rel. 34
- d = 2.237 Å, rel. 23
- d = 2.109 Å, rel. 100
- d = 1.452 Å, rel. 21
- d = 1.349 Å, rel. 19
- d = 1.218 Å, rel. 20

[3]
Diffraction record for Tl2CuI3. The powder diffractogram is computed, not measured: it uses DFT lattice parameters and positions (GGA-PBE) and CuKα.

Structure:
```
data_Tl2CuI3
_chemical_formula_sum 'Tl8 Cu4 I12'
_cell_length_a 9.293
_cell_length_b 9.817
_cell_length_c 9.620
_cell_angle_alpha 90.00
_cell_angle_beta 90.00
_cell_angle_gamma 90.00
_space_group_name_H-M_alt 'P n n m'
_space_group_IT_number 58
_space_group_name_Hall '-P 2 2n'
loop_
_atom_site_label
_atom_site_fract_x
_atom_site_fract_y
_atom_site_fract_z
Tl1 0.156 0.148 0.241
Cu1 0.044 0.376 0.500
I1 0.000 0.500 0.256
I2 0.138 0.832 0.500
I3 0.171 0.835 0.000
```

Largest 10 diffraction maxima, by angle, 10 to 80 degrees two-theta:
- d = 3.222 Å, rel. 100
- d = 3.164 Å, rel. 79
- d = 3.087 Å, rel. 31
- d = 2.954 Å, rel. 41
- d = 2.405 Å, rel. 30
- d = 2.250 Å, rel. 18
- d = 2.046 Å, rel. 17
- d = 1.865 Å, rel. 20
- d = 1.693 Å, rel. 17
- d = 1.635 Å, rel. 20

[4]
Diffraction record for KMg14V. The powder diffractogram is computed, not measured: it uses DFT lattice parameters and positions (GGA-PBE) and CuKα.

Structure:
```
data_KMg14V
_chemical_formula_sum 'K1 Mg14 V1'
_cell_length_a 6.5112
_cell_length_b 6.5112
_cell_length_c 10.3874
_cell_angle_alpha 90.00
_cell_angle_beta 90.00
_cell_angle_gamma 120.00
_space_group_name_H-M_alt 'P -6 m 2'
_space_group_IT_number 187
_space_group_name_Hall 'P -6 2'
loop_
_atom_site_label
_atom_site_fract_x
_atom_site_fract_y
_atom_site_fract_z
K1 0.0000 0.0000 0.0000
Mg1 0.0081 0.5041 0.0000
Mg2 0.1672 0.3344 0.2675
Mg3 0.5014 0.0027 0.5000
Mg4 0.6667 0.3333 0.2446
V1 0.0000 0.0000 0.5000
```

Largest 10 diffraction maxima, by angle, 10 to 80 degrees two-theta:
- d = 5.639 Å, rel. 4
- d = 3.820 Å, rel. 4
- d = 2.819 Å, rel. 25
- d = 2.597 Å, rel. 24
- d = 2.478 Å, rel. 100
- d = 1.910 Å, rel. 15
- d = 1.628 Å, rel. 17
- d = 1.475 Å, rel. 16
- d = 1.379 Å, rel. 18
- d = 1.360 Å, rel. 13

[5]
Diffraction record for Mg6Si5. The powder diffractogram is computed, not measured: it uses DFT lattice parameters and positions (GGA-PBE) and CuKα.

Structure:
```
data_Mg6Si5
_chemical_formula_sum 'Mg12 Si10'
_cell_length_a 4.465
_cell_length_b 6.945
_cell_length_c 13.562
_cell_angle_alpha 90.36
_cell_angle_beta 92.80
_cell_angle_gamma 91.44
_space_group_name_H-M_alt 'P 1'
_space_group_IT_number 1
_space_group_name_Hall 'P 1'
loop_
_atom_site_label
_atom_site_fract_x
_atom_site_fract_y
_atom_site_fract_z
Mg1 0.000 0.000 0.000
Mg2 0.000 0.450 0.477
Mg3 0.006 0.212 0.300
Mg4 0.007 0.490 0.919
Mg5 0.012 0.791 0.339
Mg6 0.476 0.177 0.851
Mg7 0.501 0.506 0.271
Mg8 0.502 0.979 0.183
Mg9 0.534 0.720 0.496
Mg10 0.960 0.323 0.701
Mg11 0.962 0.889 0.783
Mg12 0.988 0.027 0.532
Si1 0.010 0.716 0.143
Si2 0.150 0.689 0.636
Si3 0.470 0.545 0.767
Si4 0.471 0.001 0.665
Si5 0.481 0.289 0.047
Si6 0.488 0.266 0.546
Si7 0.498 0.644 0.062
Si8 0.508 0.778 0.901
Si9 0.514 0.060 0.388
Si10 0.993 0.364 0.122
```

Largest 10 diffraction maxima, by angle, 10 to 80 degrees two-theta:
- d = 2.706 Å, rel. 29
- d = 2.589 Å, rel. 22
- d = 2.575 Å, rel. 76
- d = 2.545 Å, rel. 100
- d = 2.482 Å, rel. 53
- d = 2.447 Å, rel. 48
- d = 2.358 Å, rel. 24
- d = 2.338 Å, rel. 26
- d = 2.229 Å, rel. 93
- d = 2.185 Å, rel. 39

[6]
Diffraction record for YLuB8Ir8. The powder diffractogram is computed, not measured: it uses DFT lattice parameters and positions (GGA-PBE) and CuKα.

Structure:
```
data_YLuB8Ir8
_chemical_formula_sum 'Y1 Lu1 B8 Ir8'
_cell_length_a 5.398
_cell_length_b 5.398
_cell_length_c 7.454
_cell_angle_alpha 90.00
_cell_angle_beta 90.00
_cell_angle_gamma 90.00
_space_group_name_H-M_alt 'P -4 m 2'
_space_group_IT_number 115
_space_group_name_Hall 'P -4 -2'
loop_
_atom_site_label
_atom_site_fract_x
_atom_site_fract_y
_atom_site_fract_z
Y1 0.000 0.000 0.000
Lu1 0.500 0.500 0.500
B1 0.000 0.327 0.347
B2 0.172 0.500 0.846
Ir1 0.000 0.249 0.643
Ir2 0.252 0.500 0.146
```

Largest 10 diffraction maxima, by angle, 10 to 80 degrees two-theta:
- d = 3.067 Å, rel. 58
- d = 2.538 Å, rel. 100
- d = 2.296 Å, rel. 62
- d = 2.257 Å, rel. 51
- d = 2.026 Å, rel. 43
- d = 1.908 Å, rel. 27
- d = 1.468 Å, rel. 15
- d = 1.349 Å, rel. 17
- d = 1.333 Å, rel. 27
- d = 1.305 Å, rel. 20

[7]
Diffraction record for CeNi2Sb2. The powder diffractogram is computed, not measured: it uses DFT lattice parameters and positions (GGA-PBE) and CuKα.

Structure:
```
data_CeNi2Sb2
_chemical_formula_sum 'Ce2 Ni4 Sb4'
_cell_length_a 4.605
_cell_length_b 4.605
_cell_length_c 9.513
_cell_angle_alpha 90.00
_cell_angle_beta 90.00
_cell_angle_gamma 90.00
_space_group_name_H-M_alt 'I 4/m m m'
_space_group_IT_number 139
_space_group_name_Hall '-I 4 2'
loop_
_atom_site_label
_atom_site_fract_x
_atom_site_fract_y
_atom_site_fract_z
Ce1 0.000 0.000 0.000
Ni1 0.000 0.000 0.371
Sb1 0.000 0.500 0.250
```

Largest 10 diffraction maxima, by angle, 10 to 80 degrees two-theta:
- d = 2.687 Å, rel. 100
- d = 2.612 Å, rel. 37
- d = 2.303 Å, rel. 60
- d = 1.921 Å, rel. 14
- d = 1.758 Å, rel. 10
- d = 1.727 Å, rel. 21
- d = 1.654 Å, rel. 11
- d = 1.628 Å, rel. 20
- d = 1.426 Å, rel. 16
- d = 1.392 Å, rel. 26

[8]
Diffraction record for AgHg3. The powder diffractogram is computed, not measured: it uses DFT lattice parameters and positions (GGA-PBE) and CuKα.

Structure:
```
data_AgHg3
_chemical_formula_sum 'Ag1 Hg3'
_cell_length_a 4.505
_cell_length_b 4.505
_cell_length_c 4.505
_cell_angle_alpha 90.00
_cell_angle_beta 90.00
_cell_angle_gamma 90.00
_space_group_name_H-M_alt 'P m -3 m'
_space_group_IT_number 221
_space_group_name_Hall '-P 4 2 3'
loop_
_atom_site_label
_atom_site_fract_x
_atom_site_fract_y
_atom_site_fract_z
Ag1 0.000 0.000 0.000
Hg1 0.000 0.500 0.500
```

Largest 10 diffraction maxima, by angle, 10 to 80 degrees two-theta:
- d = 4.505 Å, rel. 4
- d = 3.185 Å, rel. 4
- d = 2.601 Å, rel. 100
- d = 2.252 Å, rel. 50
- d = 2.015 Å, rel. 2
- d = 1.839 Å, rel. 2
- d = 1.593 Å, rel. 34
- d = 1.502 Å, rel. 1
- d = 1.358 Å, rel. 40
- d = 1.300 Å, rel. 12

[9]
Diffraction record for NaCa2IO6. The powder diffractogram is computed, not measured: it uses DFT lattice parameters and positions (GGA-PBE) and CuKα.

Structure:
```
data_NaCa2IO6
_chemical_formula_sum 'Na2 Ca4 I2 O12'
_cell_length_a 5.594
_cell_length_b 5.853
_cell_length_c 9.768
_cell_angle_alpha 90.00
_cell_angle_beta 124.25
_cell_angle_gamma 90.00
_space_group_name_H-M_alt 'P 1 21/c 1'
_space_group_IT_number 14
_space_group_name_Hall '-P 2ybc'
loop_
_atom_site_label
_atom_site_fract_x
_atom_site_fract_y
_atom_site_fract_z
Na1 0.000 0.000 0.000
Ca1 0.226 0.056 0.743
I1 0.500 0.000 0.500
O1 0.176 0.175 0.453
O2 0.262 0.732 0.426
O3 0.395 0.059 0.281
```

Largest 10 diffraction maxima, by angle, 10 to 80 degrees two-theta:
- d = 4.739 Å, rel. 100
- d = 4.624 Å, rel. 33
- d = 4.572 Å, rel. 46
- d = 4.042 Å, rel. 51
- d = 2.927 Å, rel. 34
- d = 2.870 Å, rel. 78
- d = 2.845 Å, rel. 74
- d = 2.797 Å, rel. 31
- d = 2.415 Å, rel. 38
- d = 2.021 Å, rel. 62